[1]
The following is a calculated X-ray powder pattern of Bi5IO7. It was derived from the GGA-PBE geometry in the Materials Project, using Cu Kα (weighted mean of Kα1 and Kα2).

Structural model:
Cell lengths 14.7371, 14.7371, 14.7371 Å; angles 158.53, 111.25, 72.96 degrees
Atoms (fractional coordinates):
Bi  0.0173  0.4809  0.6194
Bi  0.0475  0.2975  0.7500
Bi  0.1172  0.2303  0.9673
Bi  0.1385  0.0191  0.0364
Bi  0.2370  0.8501  0.4673
Bi  0.2630  0.7303  0.6131
Bi  0.3615  0.3979  0.8806
Bi  0.3828  0.3501  0.1131
Bi  0.4525  0.2025  0.2500
Bi  0.4827  0.1021  0.4636
Bi  0.5173  0.8979  0.5364
Bi  0.5475  0.7975  0.7500
Bi  0.6172  0.6499  0.8869
Bi  0.6385  0.6021  0.1194
Bi  0.7370  0.2697  0.3869
Bi  0.7630  0.1499  0.5327
Bi  0.8615  0.9809  0.9636
Bi  0.8828  0.7697  0.0327
Bi  0.9525  0.7025  0.2500
Bi  0.9827  0.5191  0.3806
I  0.1568  0.9068  0.2500
I  0.3432  0.5932  0.7500
I  0.6568  0.4068  0.2500
I  0.8432  0.0932  0.7500
O  0.0056  0.1326  0.0387
O  0.0766  0.4762  0.0606
O  0.0844  0.9840  0.5606
O  0.0907  0.5752  0.3657
O  0.0939  0.6326  0.6271
O  0.2095  0.0752  0.9845
O  0.2500  0.0014  0.7514
O  0.2500  0.5014  0.2514
O  0.2905  0.2750  0.8657
O  0.4061  0.0332  0.5387
O  0.4093  0.7750  0.4845
O  0.4156  0.9762  0.8996
O  0.4234  0.4840  0.3996
O  0.4944  0.5332  0.1271
O  0.5056  0.4668  0.8729
O  0.5766  0.5160  0.6004
O  0.5844  0.0238  0.1004
O  0.5907  0.2250  0.5155
O  0.5939  0.9668  0.4613
O  0.7095  0.7250  0.1343
O  0.7500  0.4986  0.7486
O  0.7500  0.9986  0.2486
O  0.7905  0.9248  0.0155
O  0.9061  0.3674  0.3729
O  0.9093  0.4248  0.6343
O  0.9156  0.0160  0.4394
O  0.9234  0.5238  0.9394
O  0.9944  0.8674  0.9613

Top 12 peaks for 2θ = 5–70°, low angle first:
d = 11.849 Å, 7.46 deg, I = 108
d = 8.321 Å, 10.63 deg, I = 83
d = 3.259 Å, 27.37 deg, I = 1000
d = 2.962 Å, 30.17 deg, I = 163
d = 2.774 Å, 32.27 deg, I = 236
d = 2.745 Å, 32.62 deg, I = 163
d = 2.025 Å, 44.76 deg, I = 125
d = 2.014 Å, 45.02 deg, I = 107
d = 1.951 Å, 46.54 deg, I = 132
d = 1.762 Å, 51.89 deg, I = 106
d = 1.680 Å, 54.61 deg, I = 153
d = 1.668 Å, 55.06 deg, I = 105

---

[2]
The following is a calculated X-ray powder pattern of PuCu2. It was derived from the GGA-PBE geometry in the Materials Project, using Cu Kα (weighted mean of Kα1 and Kα2).

Structural model:
Cell lengths 5.4252, 5.4252, 5.4252 Å; angles 132.72, 104.46, 94.12 degrees
Atoms (fractional coordinates):
Pu  0.2987  0.0487  0.2500
Pu  0.7013  0.9513  0.7500
Cu  0.1054  0.6633  0.4420
Cu  0.2787  0.3367  0.9420
Cu  0.7213  0.6633  0.0580
Cu  0.8946  0.3367  0.5580

Top 12 peaks for 2θ = 5–70°, low angle first:
d = 3.750 Å, 23.73 deg, I = 421
d = 3.696 Å, 24.08 deg, I = 144
d = 2.593 Å, 34.59 deg, I = 465
d = 2.487 Å, 36.12 deg, I = 1000
d = 2.471 Å, 36.36 deg, I = 368
d = 2.310 Å, 38.99 deg, I = 177
d = 2.176 Å, 41.51 deg, I = 309
d = 2.144 Å, 42.15 deg, I = 334
d = 1.648 Å, 55.80 deg, I = 199
d = 1.633 Å, 56.35 deg, I = 210
d = 1.519 Å, 61.00 deg, I = 222
d = 1.349 Å, 69.70 deg, I = 196